Entry 1:
For DyTlSb, the PBE geometry in Alexandria gives the calculated X-ray powder pattern in this record (Cu Kα X-rays).
Intensities are scaled so that the largest is 100.

Peak list (10 most intense, 2θ = 5–70°, in order of rising 2θ)
Position (°2θ)  Rel. int.
26.8  46
28.4  100
30.9  57
32.3  27
33.3  70
35.7  31
37.3  45
42.4  46
44.3  30
50.5  24

Structural model:
```
DyTlSb
1.0
-1.690 2.810 9.428
1.690 -2.810 9.428
1.690 2.810 -9.428
Dy Tl Sb
2 2 2
Cartesian
0.000 0.000 3.257 Dy
0.000 0.000 15.599 Dy
0.000 1.400 0.000 Tl
0.000 4.219 0.000 Tl
0.000 0.000 6.332 Sb
0.000 0.000 12.524 Sb
```

***

Entry 2:
For Dy5Tm5Sb6, the PBE geometry in Alexandria gives the calculated X-ray powder pattern in this record (Cu Kα X-rays).
Intensities are scaled so that the largest is 100.

Peak list (10 most intense, 2θ = 5–70°, in order of rising 2θ)
Position (°2θ)  Rel. int.
28.5  16
30.6  33
30.8  20
33.9  100
34.8  49
35.0  80
50.2  22
54.0  26
56.0  10
59.0  10

Structural model:
```
Dy5Tm5Sb6
1.0
6.261 0.000 0.000
0.000 7.741 4.455
0.000 -7.741 4.455
Dy Tm Sb
5 5 6
Cartesian
0.000 0.000 0.000 Dy
1.565 -2.574 6.643 Dy
1.565 2.574 6.643 Dy
4.696 -2.574 6.643 Dy
4.696 2.574 6.643 Dy
0.000 -1.908 3.280 Tm
0.000 1.908 3.280 Tm
3.130 -5.831 5.544 Tm
3.130 0.000 4.360 Tm
3.130 5.831 5.544 Tm
0.000 -4.725 4.917 Sb
0.000 0.000 5.628 Sb
0.000 4.725 4.917 Sb
3.130 -3.002 3.913 Sb
3.130 3.002 3.913 Sb
3.130 0.000 7.640 Sb
```